Structure and theoretical powder diffraction line list of V2Fe7TcGe2 (a crystal structure in Alexandria, relaxed with PBE; Cu Kα).

Structural model:
```
data_V2Fe7TcGe2
_chemical_formula_sum 'V4 Fe14 Tc2 Ge4'
_cell_length_a 5.022
_cell_length_b 5.071
_cell_length_c 11.872
_cell_angle_alpha 90.00
_cell_angle_beta 90.00
_cell_angle_gamma 90.00
_symmetry_space_group_name_H-M 'C m m m'
_symmetry_Int_Tables_number 65
_symmetry_space_group_name_Hall '-C 2 2'
loop_
_atom_site_label
_atom_site_type_symbol
_atom_site_fract_x
_atom_site_fract_y
_atom_site_fract_z
V1 V 0.000 0.000 0.169
Fe1 Fe 0.000 0.000 0.500
Fe2 Fe 0.000 0.266 0.000
Fe3 Fe 0.250 0.250 0.345
Tc1 Tc 0.000 0.500 0.500
Ge1 Ge 0.000 0.500 0.196
```

Peak list (10 most intense, 2θ = 10–90°, in order of falling intensity)
2θ 42.34, I = 100; 2θ 42.64, I = 46; 2θ 45.86, I = 33; 2θ 51.20, I = 29; 2θ 47.43, I = 25; 2θ 51.82, I = 19; 2θ 77.68, I = 16; 2θ 71.16, I = 13; 2θ 35.76, I = 13; 2θ 56.59, I = 12

Structure and theoretical powder diffraction line list of ThFeGe3 (a crystal structure in Alexandria, relaxed with PBE; Cu Kα).

Structural model:
```
data_ThFeGe3
_chemical_formula_sum 'Th2 Fe2 Ge6'
_cell_length_a 6.105
_cell_length_b 5.616
_cell_length_c 5.632
_cell_angle_alpha 90.00
_cell_angle_beta 90.00
_cell_angle_gamma 90.00
_symmetry_space_group_name_H-M 'P m n 21'
_symmetry_Int_Tables_number 31
_symmetry_space_group_name_Hall 'P 2ac -2'
loop_
_atom_site_label
_atom_site_type_symbol
_atom_site_fract_x
_atom_site_fract_y
_atom_site_fract_z
Th1 Th 0.000 0.132 0.000
Fe1 Fe 0.000 0.607 0.242
Ge1 Ge 0.000 0.893 0.530
Ge2 Ge 0.236 0.350 0.451
```

Peak list (10 most intense, 2θ = 10–90°, in order of falling intensity)
2θ 35.72, I = 100; 2θ 37.13, I = 86; 2θ 46.79, I = 60; 2θ 21.48, I = 46; 2θ 31.78, I = 40; 2θ 33.41, I = 33; 2θ 72.44, I = 25; 2θ 26.75, I = 24; 2θ 67.44, I = 24; 2θ 38.70, I = 21

Structure and theoretical powder diffraction line list of ThFe12Ge6 (a crystal structure in Alexandria, relaxed with PBE; Cu Kα).

Structural model:
```
data_ThFe12Ge6
_chemical_formula_sum 'Th3 Fe36 Ge18'
_cell_length_a 10.6517
_cell_length_b 10.6517
_cell_length_c 8.3511
_cell_angle_alpha 90.00
_cell_angle_beta 90.00
_cell_angle_gamma 120.00
_symmetry_space_group_name_H-M 'R -3 m'
_symmetry_Int_Tables_number 166
_symmetry_space_group_name_Hall '-R 3 2"'
loop_
_atom_site_label
_atom_site_type_symbol
_atom_site_fract_x
_atom_site_fract_y
_atom_site_fract_z
Th1 Th 0.0000 0.0000 0.0000
Fe1 Fe 0.0000 0.3864 0.5000
Fe2 Fe 0.0920 0.1841 0.3234
Ge1 Ge 0.0319 0.5159 0.2579
```

Peak list (10 most intense, 2θ = 10–90°, in order of falling intensity)
2θ 36.74, I = 100; 2θ 36.42, I = 60; 2θ 47.82, I = 59; 2θ 27.73, I = 51; 2θ 41.39, I = 42; 2θ 33.48, I = 41; 2θ 54.37, I = 40; 2θ 33.66, I = 36; 2θ 48.21, I = 30; 2θ 66.90, I = 23

Structure and theoretical powder diffraction line list of ThFe2Ge (a crystal structure in Alexandria, relaxed with PBE; Cu Kα).

Structural model:
```
data_ThFe2Ge
_chemical_formula_sum 'Th2 Fe4 Ge2'
_cell_length_a 5.094
_cell_length_b 4.004
_cell_length_c 6.947
_cell_angle_alpha 90.00
_cell_angle_beta 90.00
_cell_angle_gamma 90.00
_symmetry_space_group_name_H-M 'P m m a'
_symmetry_Int_Tables_number 51
_symmetry_space_group_name_Hall '-P 2a 2a'
loop_
_atom_site_label
_atom_site_type_symbol
_atom_site_fract_x
_atom_site_fract_y
_atom_site_fract_z
Th1 Th 0.250 0.000 0.190
Fe1 Fe 0.000 0.500 0.500
Fe2 Fe 0.250 0.000 0.589
Ge1 Ge 0.250 0.500 0.811
```

Peak list (10 most intense, 2θ = 10–90°, in order of falling intensity)
2θ 31.19, I = 100; 2θ 38.60, I = 52; 2θ 45.29, I = 23; 2θ 35.24, I = 22; 2θ 42.04, I = 22; 2θ 38.89, I = 20; 2θ 58.63, I = 19; 2θ 44.09, I = 18; 2θ 21.63, I = 18; 2θ 22.20, I = 17

Structure and theoretical powder diffraction line list of Th2FeGe (a crystal structure in Alexandria, relaxed with PBE; Cu Kα).

Structural model:
```
data_Th2FeGe
_chemical_formula_sum 'Th4 Fe2 Ge2'
_cell_length_a 5.995
_cell_length_b 3.905
_cell_length_c 8.458
_cell_angle_alpha 90.00
_cell_angle_beta 109.91
_cell_angle_gamma 90.00
_symmetry_space_group_name_H-M 'P 1 21/m 1'
_symmetry_Int_Tables_number 11
_symmetry_space_group_name_Hall '-P 2yb'
loop_
_atom_site_label
_atom_site_type_symbol
_atom_site_fract_x
_atom_site_fract_y
_atom_site_fract_z
Th1 Th 0.188 0.250 0.401
Th2 Th 0.270 0.750 0.050
Fe1 Fe 0.124 0.250 0.795
Ge1 Ge 0.350 0.750 0.707
```

Peak list (10 most intense, 2θ = 10–90°, in order of falling intensity)
2θ 32.07, I = 100; 2θ 27.88, I = 31; 2θ 39.69, I = 21; 2θ 39.42, I = 17; 2θ 31.75, I = 16; 2θ 57.61, I = 14; 2θ 46.51, I = 12; 2θ 42.33, I = 12; 2θ 51.62, I = 9; 2θ 54.64, I = 7

Structure and theoretical powder diffraction line list of Th2FeGe3 (a crystal structure in Alexandria, relaxed with PBE; Cu Kα).

Structural model:
```
data_Th2FeGe3
_chemical_formula_sum 'Th2 Fe1 Ge3'
_cell_length_a 4.088
_cell_length_b 4.333
_cell_length_c 7.214
_cell_angle_alpha 90.00
_cell_angle_beta 90.00
_cell_angle_gamma 90.00
_symmetry_space_group_name_H-M 'P m m 2'
_symmetry_Int_Tables_number 25
_symmetry_space_group_name_Hall 'P 2 -2'
loop_
_atom_site_label
_atom_site_type_symbol
_atom_site_fract_x
_atom_site_fract_y
_atom_site_fract_z
Th1 Th 0.000 0.000 0.000
Th2 Th 0.000 0.500 0.477
Fe1 Fe 0.500 0.000 0.299
Ge1 Ge 0.500 0.000 0.626
Ge2 Ge 0.500 0.500 0.166
Ge3 Ge 0.500 0.500 0.814
```

Peak list (10 most intense, 2θ = 10–90°, in order of falling intensity)
2θ 32.57, I = 100; 2θ 33.12, I = 49; 2θ 43.02, I = 34; 2θ 23.96, I = 29; 2θ 54.25, I = 24; 2θ 63.47, I = 22; 2θ 41.69, I = 20; 2θ 44.31, I = 17; 2θ 24.68, I = 13; 2θ 62.46, I = 12

Structure and theoretical powder diffraction line list of Th12Fe6Ge (a crystal structure in Alexandria, relaxed with PBE; Cu Kα).

Structural model:
```
data_Th12Fe6Ge
_chemical_formula_sum 'Th24 Fe12 Ge2'
_cell_length_a 9.827
_cell_length_b 9.827
_cell_length_c 9.827
_cell_angle_alpha 90.00
_cell_angle_beta 90.00
_cell_angle_gamma 90.00
_symmetry_space_group_name_H-M 'I m -3'
_symmetry_Int_Tables_number 204
_symmetry_space_group_name_Hall '-I 2 2 3'
loop_
_atom_site_label
_atom_site_type_symbol
_atom_site_fract_x
_atom_site_fract_y
_atom_site_fract_z
Th1 Th 0.000 0.178 0.312
Fe1 Fe 0.000 0.361 0.500
Ge1 Ge 0.000 0.000 0.000
```

Peak list (10 most intense, 2θ = 10–90°, in order of falling intensity)
2θ 34.14, I = 100; 2θ 28.73, I = 71; 2θ 54.45, I = 42; 2θ 57.84, I = 35; 2θ 31.54, I = 24; 2θ 56.16, I = 18; 2θ 83.47, I = 18; 2θ 25.64, I = 17; 2θ 47.16, I = 17; 2θ 84.89, I = 17

Structure and theoretical powder diffraction line list of TiFe14Ge (a crystal structure in Alexandria, relaxed with PBE; Cu Kα).

Structural model:
```
data_TiFe14Ge
_chemical_formula_sum 'Ti2 Fe28 Ge2'
_cell_length_a 5.707
_cell_length_b 8.101
_cell_length_c 8.140
_cell_angle_alpha 90.00
_cell_angle_beta 90.00
_cell_angle_gamma 90.00
_symmetry_space_group_name_H-M 'C m m m'
_symmetry_Int_Tables_number 65
_symmetry_space_group_name_Hall '-C 2 2'
loop_
_atom_site_label
_atom_site_type_symbol
_atom_site_fract_x
_atom_site_fract_y
_atom_site_fract_z
Ti1 Ti 0.000 0.000 0.000
Fe1 Fe 0.000 0.000 0.500
Fe2 Fe 0.000 0.251 0.251
Fe3 Fe 0.000 0.500 0.500
Fe4 Fe 0.249 0.500 0.256
Fe5 Fe 0.250 0.250 0.000
Fe6 Fe 0.250 0.250 0.500
Ge1 Ge 0.000 0.500 0.000
```

Peak list (7 most intense, 2θ = 10–90°, in order of falling intensity)
2θ 44.78, I = 100; 2θ 44.52, I = 20; 2θ 82.54, I = 17; 2θ 64.97, I = 12; 2θ 82.20, I = 11; 2θ 65.42, I = 6; 2θ 82.75, I = 6

Structure and theoretical powder diffraction line list of Ti8FeGe2 (a crystal structure in Alexandria, relaxed with PBE; Cu Kα).

Structural model:
```
data_Ti8FeGe2
_chemical_formula_sum 'Ti16 Fe2 Ge4'
_cell_length_a 15.720
_cell_length_b 4.042
_cell_length_c 5.695
_cell_angle_alpha 90.00
_cell_angle_beta 98.45
_cell_angle_gamma 90.00
_symmetry_space_group_name_H-M 'C 1 2/m 1'
_symmetry_Int_Tables_number 12
_symmetry_space_group_name_Hall '-C 2y'
loop_
_atom_site_label
_atom_site_type_symbol
_atom_site_fract_x
_atom_site_fract_y
_atom_site_fract_z
Ti1 Ti 0.001 0.000 0.259
Ti2 Ti 0.094 0.500 0.024
Ti3 Ti 0.147 0.500 0.549
Ti4 Ti 0.221 0.000 0.844
Fe1 Fe 0.000 0.500 0.500
Ge1 Ge 0.179 0.000 0.281
```

Peak list (10 most intense, 2θ = 10–90°, in order of falling intensity)
2θ 38.69, I = 100; 2θ 36.45, I = 46; 2θ 44.84, I = 39; 2θ 41.67, I = 29; 2θ 47.40, I = 21; 2θ 35.95, I = 14; 2θ 78.54, I = 13; 2θ 43.86, I = 12; 2θ 34.61, I = 12; 2θ 40.39, I = 12

Structure and theoretical powder diffraction line list of Ti3FeGe4 (a crystal structure in Alexandria, relaxed with PBE; Cu Kα).

Structural model:
```
data_Ti3FeGe4
_chemical_formula_sum 'Ti6 Fe2 Ge8'
_cell_length_a 9.086
_cell_length_b 5.202
_cell_length_c 5.242
_cell_angle_alpha 90.00
_cell_angle_beta 90.00
_cell_angle_gamma 90.00
_symmetry_space_group_name_H-M 'P m n 21'
_symmetry_Int_Tables_number 31
_symmetry_space_group_name_Hall 'P 2ac -2'
loop_
_atom_site_label
_atom_site_type_symbol
_atom_site_fract_x
_atom_site_fract_y
_atom_site_fract_z
Ti1 Ti 0.000 0.083 0.000
Ti2 Ti 0.249 0.653 0.172
Fe1 Fe 0.000 0.635 0.396
Ge1 Ge 0.000 0.147 0.479
Ge2 Ge 0.000 0.570 0.911
Ge3 Ge 0.210 0.840 0.660
```

Peak list (10 most intense, 2θ = 10–90°, in order of falling intensity)
2θ 39.70, I = 100; 2θ 43.66, I = 23; 2θ 45.99, I = 23; 2θ 38.64, I = 18; 2θ 35.91, I = 17; 2θ 50.44, I = 17; 2θ 39.94, I = 13; 2θ 34.22, I = 12; 2θ 73.06, I = 11; 2θ 38.45, I = 9

Structure and theoretical powder diffraction line list of TiFeGe (a crystal structure in Alexandria, relaxed with PBE; Cu Kα).

Structural model:
```
data_TiFeGe
_chemical_formula_sum 'Ti12 Fe12 Ge12'
_cell_length_a 7.087
_cell_length_b 10.938
_cell_length_c 6.378
_cell_angle_alpha 90.00
_cell_angle_beta 90.00
_cell_angle_gamma 90.00
_symmetry_space_group_name_H-M 'I m a 2'
_symmetry_Int_Tables_number 46
_symmetry_space_group_name_Hall 'I 2 -2a'
loop_
_atom_site_label
_atom_site_type_symbol
_atom_site_fract_x
_atom_site_fract_y
_atom_site_fract_z
Ti1 Ti 0.250 0.002 0.000
Ti2 Ti 0.250 0.229 0.347
Ti3 Ti 0.250 0.695 0.887
Fe1 Fe 0.000 0.000 0.338
Fe2 Fe 0.039 0.623 0.208
Ge1 Ge 0.007 0.667 0.582
Ge2 Ge 0.250 0.034 0.591
```

Peak list (10 most intense, 2θ = 10–90°, in order of falling intensity)
2θ 41.52, I = 100; 2θ 38.12, I = 67; 2θ 41.72, I = 38; 2θ 51.58, I = 34; 2θ 43.33, I = 31; 2θ 37.96, I = 31; 2θ 49.64, I = 30; 2θ 50.77, I = 23; 2θ 43.74, I = 21; 2θ 43.60, I = 19

Structure and theoretical powder diffraction line list of TiFeGe2 (a crystal structure in Alexandria, relaxed with PBE; Cu Kα).

Structural model:
```
data_TiFeGe2
_chemical_formula_sum 'Ti12 Fe12 Ge24'
_cell_length_a 8.841
_cell_length_b 9.907
_cell_length_c 7.776
_cell_angle_alpha 90.00
_cell_angle_beta 90.00
_cell_angle_gamma 90.00
_symmetry_space_group_name_H-M 'P b a m'
_symmetry_Int_Tables_number 55
_symmetry_space_group_name_Hall '-P 2 2ab'
loop_
_atom_site_label
_atom_site_type_symbol
_atom_site_fract_x
_atom_site_fract_y
_atom_site_fract_z
Ti1 Ti 0.165 0.180 0.000
Ti2 Ti 0.173 0.452 0.237
Fe1 Fe 0.000 0.000 0.244
Fe2 Fe 0.092 0.746 0.248
Ge1 Ge 0.040 0.620 0.000
Ge2 Ge 0.040 0.621 0.500
Ge3 Ge 0.130 0.900 0.000
Ge4 Ge 0.134 0.905 0.500
Ge5 Ge 0.161 0.182 0.338
```

Peak list (10 most intense, 2θ = 10–90°, in order of falling intensity)
2θ 41.28, I = 100; 2θ 39.43, I = 89; 2θ 43.31, I = 74; 2θ 41.05, I = 65; 2θ 37.72, I = 50; 2θ 41.88, I = 40; 2θ 46.73, I = 36; 2θ 52.23, I = 25; 2θ 48.19, I = 23; 2θ 69.77, I = 22